1.
Structure and calculated powder diffraction line list of Lu2PbSe4 (the PBE geometry in the Materials Project; Cu Kα).
Peak positions follow from Bragg's law for the DFT cell and can differ from measured ones.

Cell and atoms:
Lattice parameters (Å, degrees): 12.612 4.069 14.749 90.00 90.00 90.00
Sites, in units of the cell vectors:
1 Lu 0.060 0.250 0.112
2 Lu 0.083 0.250 0.597
3 Lu 0.417 0.750 0.097
4 Lu 0.440 0.750 0.612
5 Lu 0.560 0.250 0.388
6 Lu 0.583 0.250 0.903
7 Lu 0.917 0.750 0.403
8 Lu 0.940 0.750 0.888
9 Pb 0.241 0.250 0.333
10 Pb 0.259 0.750 0.833
11 Pb 0.741 0.250 0.167
12 Pb 0.759 0.750 0.667
13 Se 0.029 0.750 0.715
14 Se 0.089 0.250 0.924
15 Se 0.127 0.750 0.469
16 Se 0.205 0.750 0.168
17 Se 0.295 0.250 0.668
18 Se 0.373 0.250 0.969
19 Se 0.411 0.750 0.424
20 Se 0.471 0.250 0.215
21 Se 0.529 0.750 0.785
22 Se 0.589 0.250 0.576
23 Se 0.627 0.750 0.031
24 Se 0.705 0.750 0.332
25 Se 0.795 0.250 0.832
26 Se 0.873 0.250 0.531
27 Se 0.911 0.750 0.076
28 Se 0.971 0.250 0.285

Main lines, by angle (2θ = 10–80°):
24.37°, rel. 100
26.01°, rel. 77
29.36°, rel. 88
31.18°, rel. 51
35.78°, rel. 89
44.53°, rel. 54

2.
Structure and calculated powder diffraction line list of ZrNi2P2 (the PBE geometry in the Materials Project; Cu Kα).
Peak positions follow from Bragg's law for the DFT cell and can differ from measured ones.

Cell and atoms:
Lattice parameters (Å, degrees): 3.703 3.703 9.568 90.00 90.00 90.00
Sites, in units of the cell vectors:
1 Zr 0.000 0.000 0.000
2 Zr 0.500 0.500 0.500
3 Ni 0.000 0.500 0.250
4 Ni 0.000 0.500 0.750
5 Ni 0.500 0.000 0.250
6 Ni 0.500 0.000 0.750
7 P 0.000 0.000 0.382
8 P 0.000 0.000 0.618
9 P 0.500 0.500 0.118
10 P 0.500 0.500 0.882

Main lines, by angle (2θ = 10–80°):
37.21°, rel. 37
37.60°, rel. 14
39.23°, rel. 100
49.22°, rel. 39
53.94°, rel. 15
63.28°, rel. 15

3.
Structure and calculated powder diffraction line list of Ca2Zn3Ag (the PBE geometry in the Materials Project; Cu Kα).
Peak positions follow from Bragg's law for the DFT cell and can differ from measured ones.

Cell and atoms:
Lattice parameters (Å, degrees): 10.559 4.667 7.334 90.00 133.41 90.00
Sites, in units of the cell vectors:
1 Ca 0.000 0.000 0.000
2 Ca 0.099 0.000 0.600
3 Ca 0.500 0.500 0.000
4 Ca 0.599 0.500 0.600
5 Zn 0.207 0.500 0.398
6 Zn 0.220 0.500 0.036
7 Zn 0.383 0.000 0.192
8 Zn 0.707 0.000 0.398
9 Zn 0.720 0.000 0.036
10 Zn 0.883 0.500 0.192
11 Ag 0.388 0.000 0.580
12 Ag 0.888 0.500 0.580

Main lines, by angle (2θ = 10–80°):
24.27°, rel. 32
32.50°, rel. 43
33.10°, rel. 41
33.28°, rel. 65
38.57°, rel. 98
40.21°, rel. 100

4.
Structure and calculated powder diffraction line list of MnPtC6N6 (the PBE geometry in the Materials Project; Cu Kα).
Peak positions follow from Bragg's law for the DFT cell and can differ from measured ones.

Cell and atoms:
Lattice parameters (Å, degrees): 7.248 7.248 7.248 60.00 60.00 60.00
Sites, in units of the cell vectors:
1 Mn 0.000 0.000 0.000
2 Pt 0.500 0.500 0.500
3 C 0.303 0.303 0.697
4 C 0.303 0.697 0.303
5 C 0.303 0.697 0.697
6 C 0.697 0.303 0.303
7 C 0.697 0.303 0.697
8 C 0.697 0.697 0.303
9 N 0.189 0.189 0.811
10 N 0.189 0.811 0.189
11 N 0.189 0.811 0.811
12 N 0.811 0.189 0.189
13 N 0.811 0.189 0.811
14 N 0.811 0.811 0.189

Main lines, by angle (2θ = 10–80°):
14.97°, rel. 26
17.30°, rel. 100
24.56°, rel. 41
28.89°, rel. 20
35.02°, rel. 21
39.31°, rel. 35

> Number 2 is which compound?

ZrNi2P2